For GaCoCuO4, a DFT-relaxed cell (GGA+U, Alexandria) gives the theoretical X-ray powder pattern in this record (a wavelength of 1.5418 Å).
Lines closer than 0.1° are merged.

Cell and atoms:
```
GaCoCuO4
1.0
-2.961 2.970 4.232
2.961 -2.970 4.232
2.961 2.970 -4.232
Ga Co Cu O
2 2 2 8
Direct
0.000 0.000 0.000
0.500 0.000 0.500
0.376 0.626 0.750
0.624 0.374 0.250
0.000 0.000 0.500
0.000 0.500 0.000
0.220 0.236 0.983
0.242 0.220 0.478
0.242 0.765 0.022
0.247 0.764 0.483
0.753 0.236 0.517
0.758 0.235 0.978
0.758 0.780 0.522
0.780 0.764 0.017
```

Principal peaks in the range 2θ from 15° to 90°, in order of rising 2θ:
| Position (°2θ) | I (rel.) |
| --- | --- |
| 18.27 | 23 |
| 30.01 | 30 |
| 35.23 | 50 |
| 35.47 | 100 |
| 37.02 | 21 |
| 43.14 | 22 |
| 56.53 | 15 |
| 56.98 | 18 |
| 57.07 | 16 |
| 62.34 | 45 |